(1)
# PmPrTlSn
Theoretical powder XRD pattern, Cu Kα X-rays. Input: a structure optimized by DFT (PBE).
Peak positions follow from Bragg's law for the DFT cell and can differ from measured ones.

Main lines, sorted by position (2θ from 10° to 90°):
| 2θ (°) | I_rel |
| --- | --- |
| 31.08 | 61 |
| 33.49 | 100 |
| 44.52 | 23 |
| 51.47 | 7 |
| 56.84 | 45 |
| 61.35 | 17 |
| 64.79 | 8 |
| 70.37 | 12 |
| 73.59 | 11 |
| 74.93 | 10 |

```
data_PmPrTlSn
_chemical_formula_sum 'Pm1 Pr1 Tl1 Sn1'
_symmetry_space_group_name_H-M 'P 4 m m'
_symmetry_Int_Tables_number 99
_cell_length_a 4.0701
_cell_length_b 4.0701
_cell_length_c 7.1022
_cell_angle_alpha 90.00
_cell_angle_beta 90.00
_cell_angle_gamma 90.00
loop_
_symmetry_equiv_pos_as_xyz
'x,y,z'
'-y,x,z'
'-x,-y,z'
'y,-x,z'
'-x,y,z'
'y,x,z'
'x,-y,z'
'-y,-x,z'
loop_
_atom_site_label
_atom_site_type_symbol
_atom_site_fract_x
_atom_site_fract_y
_atom_site_fract_z
_atom_site_occupancy
Pm1 Pm 0.0000 0.0000 0.0000 1
Pr1 Pr 0.0000 0.0000 0.4859 1
Tl1 Tl 0.5000 0.5000 0.7485 1
Sn1 Sn 0.5000 0.5000 0.2366 1
```



(2)
# Tb6Pm3Pr2
Theoretical powder XRD pattern, Cu Kα X-rays. Input: a structure optimized by DFT (PBE).
Peak positions follow from Bragg's law for the DFT cell and can differ from measured ones.

Main lines, sorted by position (2θ from 10° to 90°):
| 2θ (°) | I_rel |
| --- | --- |
| 30.57 | 100 |
| 30.82 | 32 |
| 35.52 | 67 |
| 50.98 | 16 |
| 51.28 | 24 |
| 60.54 | 10 |
| 60.70 | 24 |
| 60.82 | 9 |
| 60.99 | 9 |
| 63.64 | 12 |

```
data_Tb6Pm3Pr2
_chemical_formula_sum 'Tb12 Pm6 Pr4'
_symmetry_space_group_name_H-M 'C 1 2/m 1'
_symmetry_Int_Tables_number 12
_cell_length_a 6.2016
_cell_length_b 10.7681
_cell_length_c 11.7904
_cell_angle_alpha 90.00
_cell_angle_beta 100.22
_cell_angle_gamma 90.00
loop_
_symmetry_equiv_pos_as_xyz
'x,y,z'
'-x,-y,-z'
'-x,y,-z'
'x,-y,z'
'x+1/2,y+1/2,z'
'-x+1/2,-y+1/2,-z'
'-x+1/2,y+1/2,-z'
'x+1/2,-y+1/2,z'
loop_
_atom_site_label
_atom_site_type_symbol
_atom_site_fract_x
_atom_site_fract_y
_atom_site_fract_z
_atom_site_occupancy
Tb1 Tb 0.2496 0.0000 0.2490 1
Tb2 Tb 0.2502 0.1665 0.7506 1
Pm1 Pm 0.0000 0.1643 0.0000 1
Pm2 Pm 0.0000 0.5000 0.0000 1
Pr1 Pr 0.0000 0.3334 0.5000 1
```



(3)
# Tb2Pm3Pr3
Theoretical powder XRD pattern, Cu Kα X-rays. Input: a structure optimized by DFT (PBE).
Peak positions follow from Bragg's law for the DFT cell and can differ from measured ones.

Main lines, sorted by position (2θ from 10° to 90°):
| 2θ (°) | I_rel |
| --- | --- |
| 27.92 | 23 |
| 30.29 | 25 |
| 31.85 | 100 |
| 41.66 | 16 |
| 49.44 | 13 |
| 54.80 | 22 |
| 59.05 | 23 |
| 59.94 | 11 |
| 81.38 | 9 |
| 84.00 | 8 |

```
data_Tb2Pm3Pr3
_chemical_formula_sum 'Tb4 Pm6 Pr6'
_symmetry_space_group_name_H-M 'P m m n'
_symmetry_Int_Tables_number 59
_cell_length_a 5.9010
_cell_length_b 14.7796
_cell_length_c 6.3819
_cell_angle_alpha 90.00
_cell_angle_beta 90.00
_cell_angle_gamma 90.00
loop_
_symmetry_equiv_pos_as_xyz
'x,y,z'
'-x,-y,-z'
'-x+1/2,-y+1/2,z'
'x+1/2,y+1/2,-z'
'x+1/2,-y,-z'
'-x+1/2,y,z'
'-x,y+1/2,-z'
'x,-y+1/2,z'
loop_
_atom_site_label
_atom_site_type_symbol
_atom_site_fract_x
_atom_site_fract_y
_atom_site_fract_z
_atom_site_occupancy
Tb1 Tb 0.2500 0.1258 0.1635 1
Pm1 Pm 0.2500 0.2500 0.6625 1
Pm2 Pm 0.2500 0.6253 0.1676 1
Pr1 Pr 0.2500 0.0000 0.6678 1
Pr2 Pr 0.2500 0.7500 0.6704 1
```



(4)
# Tb3Pm2Pr6
Theoretical powder XRD pattern, Cu Kα X-rays. Input: a structure optimized by DFT (PBE).
Peak positions follow from Bragg's law for the DFT cell and can differ from measured ones.

Main lines, sorted by position (2θ from 10° to 90°):
| 2θ (°) | I_rel |
| --- | --- |
| 29.88 | 100 |
| 34.59 | 34 |
| 34.74 | 17 |
| 49.81 | 24 |
| 59.01 | 7 |
| 59.11 | 14 |
| 59.22 | 11 |
| 59.32 | 11 |
| 62.03 | 6 |
| 80.94 | 9 |

```
data_Tb3Pm2Pr6
_chemical_formula_sum 'Tb3 Pm2 Pr6'
_symmetry_space_group_name_H-M 'P -1'
_symmetry_Int_Tables_number 2
_cell_length_a 6.3451
_cell_length_b 8.1657
_cell_length_c 8.1977
_cell_angle_alpha 107.44
_cell_angle_beta 97.28
_cell_angle_gamma 104.89
loop_
_symmetry_equiv_pos_as_xyz
'x,y,z'
'-x,-y,-z'
loop_
_atom_site_label
_atom_site_type_symbol
_atom_site_fract_x
_atom_site_fract_y
_atom_site_fract_z
_atom_site_occupancy
Tb1 Tb 0.0000 0.0000 0.0000 1
Tb2 Tb 0.0900 0.3620 0.8188 1
Pm1 Pm 0.2708 0.0896 0.4530 1
Pr1 Pr 0.1802 0.7278 0.6355 1
Pr2 Pr 0.3635 0.4544 0.2694 1
Pr3 Pr 0.4532 0.8175 0.0908 1
```



(5)
# Tb4PmPr8
Theoretical powder XRD pattern, Cu Kα X-rays. Input: a structure optimized by DFT (PBE).
Peak positions follow from Bragg's law for the DFT cell and can differ from measured ones.

Main lines, sorted by position (2θ from 10° to 90°):
| 2θ (°) | I_rel |
| --- | --- |
| 27.75 | 26 |
| 28.01 | 16 |
| 30.50 | 100 |
| 31.92 | 35 |
| 37.49 | 32 |
| 49.25 | 28 |
| 49.88 | 14 |
| 57.46 | 18 |
| 59.04 | 13 |
| 80.38 | 9 |

```
data_Tb4PmPr8
_chemical_formula_sum 'Tb8 Pm2 Pr16'
_symmetry_space_group_name_H-M 'C 1 2/m 1'
_symmetry_Int_Tables_number 12
_cell_length_a 12.8233
_cell_length_b 7.3989
_cell_length_c 10.5549
_cell_angle_alpha 90.00
_cell_angle_beta 113.96
_cell_angle_gamma 90.00
loop_
_symmetry_equiv_pos_as_xyz
'x,y,z'
'-x,-y,-z'
'-x,y,-z'
'x,-y,z'
'x+1/2,y+1/2,z'
'-x+1/2,-y+1/2,-z'
'-x+1/2,y+1/2,-z'
'x+1/2,-y+1/2,z'
loop_
_atom_site_label
_atom_site_type_symbol
_atom_site_fract_x
_atom_site_fract_y
_atom_site_fract_z
_atom_site_occupancy
Tb1 Tb 0.0000 0.0000 0.0000 1
Tb2 Tb 0.0000 0.5000 0.0000 1
Tb3 Tb 0.2500 0.2500 0.0000 1
Pm1 Pm 0.0000 0.0000 0.5000 1
Pr1 Pr 0.0228 0.2746 0.2943 1
Pr2 Pr 0.2143 0.5000 0.6425 1
Pr3 Pr 0.2481 0.5000 0.2944 1
```



(6)
# Tb2Pm5Pr3
Theoretical powder XRD pattern, Cu Kα X-rays. Input: a structure optimized by DFT (PBE).
Peak positions follow from Bragg's law for the DFT cell and can differ from measured ones.

Main lines, sorted by position (2θ from 10° to 90°):
| 2θ (°) | I_rel |
| --- | --- |
| 29.27 | 48 |
| 29.37 | 49 |
| 30.49 | 100 |
| 31.78 | 22 |
| 32.64 | 47 |
| 34.30 | 14 |
| 39.05 | 15 |
| 48.49 | 20 |
| 59.76 | 12 |
| 67.57 | 18 |

```
data_Tb2Pm5Pr3
_chemical_formula_sum 'Tb8 Pm20 Pr12'
_symmetry_space_group_name_H-M 'C 1 2/c 1'
_symmetry_Int_Tables_number 15
_cell_length_a 10.9743
_cell_length_b 15.2554
_cell_length_c 9.9724
_cell_angle_alpha 90.00
_cell_angle_beta 123.14
_cell_angle_gamma 90.00
loop_
_symmetry_equiv_pos_as_xyz
'x,y,z'
'-x,-y,-z'
'-x,y,-z+1/2'
'x,-y,z+1/2'
'x+1/2,y+1/2,z'
'-x+1/2,-y+1/2,-z'
'-x+1/2,y+1/2,-z+1/2'
'x+1/2,-y+1/2,z+1/2'
loop_
_atom_site_label
_atom_site_type_symbol
_atom_site_fract_x
_atom_site_fract_y
_atom_site_fract_z
_atom_site_occupancy
Tb1 Tb 0.1563 0.1228 0.0513 1
Pm1 Pm 0.0000 0.0262 0.2500 1
Pm2 Pm 0.0000 0.2282 0.2500 1
Pm3 Pm 0.0000 0.4803 0.7500 1
Pm4 Pm 0.2356 0.1224 0.7263 1
Pr1 Pr 0.0000 0.2704 0.7500 1
Pr2 Pr 0.1470 0.3743 0.5535 1
```



(7)
# Tb4PmPr3
Theoretical powder XRD pattern, Cu Kα X-rays. Input: a structure optimized by DFT (PBE).
Peak positions follow from Bragg's law for the DFT cell and can differ from measured ones.

Main lines, sorted by position (2θ from 10° to 90°):
| 2θ (°) | I_rel |
| --- | --- |
| 30.15 | 100 |
| 34.88 | 17 |
| 34.99 | 34 |
| 50.27 | 36 |
| 59.64 | 14 |
| 59.79 | 29 |
| 62.69 | 12 |
| 81.73 | 12 |
| 81.86 | 6 |
| 84.45 | 11 |

```
data_Tb4PmPr3
_chemical_formula_sum 'Tb8 Pm2 Pr6'
_symmetry_space_group_name_H-M 'P m n a'
_symmetry_Int_Tables_number 53
_cell_length_a 10.2885
_cell_length_b 7.2522
_cell_length_c 7.2537
_cell_angle_alpha 90.00
_cell_angle_beta 90.00
_cell_angle_gamma 90.00
loop_
_symmetry_equiv_pos_as_xyz
'x,y,z'
'-x,-y,-z'
'-x+1/2,-y,z+1/2'
'x+1/2,y,-z+1/2'
'x,-y,-z'
'-x,y,z'
'-x+1/2,y,-z+1/2'
'x+1/2,-y,z+1/2'
loop_
_atom_site_label
_atom_site_type_symbol
_atom_site_fract_x
_atom_site_fract_y
_atom_site_fract_z
_atom_site_occupancy
Tb1 Tb 0.0000 0.0000 0.0000 1
Tb2 Tb 0.0000 0.5000 0.5000 1
Tb3 Tb 0.2500 0.2496 0.2500 1
Pm1 Pm 0.0000 0.0000 0.5000 1
Pr1 Pr 0.0000 0.5000 0.0000 1
Pr2 Pr 0.2500 0.2489 0.7500 1
```



(8)
# Tb10PmPr4
Theoretical powder XRD pattern, Cu Kα X-rays. Input: a structure optimized by DFT (PBE).
Peak positions follow from Bragg's law for the DFT cell and can differ from measured ones.

Main lines, sorted by position (2θ from 10° to 90°):
| 2θ (°) | I_rel |
| --- | --- |
| 26.56 | 82 |
| 28.62 | 78 |
| 28.87 | 100 |
| 32.35 | 82 |
| 33.45 | 83 |
| 34.10 | 41 |
| 41.28 | 29 |
| 41.81 | 32 |
| 44.76 | 45 |
| 59.79 | 45 |

```
data_Tb10PmPr4
_chemical_formula_sum 'Tb20 Pm2 Pr8'
_symmetry_space_group_name_H-M 'I 4/m'
_symmetry_Int_Tables_number 87
_symmetry_space_group_name_Hall '-I 4'
_cell_length_a 9.7797
_cell_length_b 9.7797
_cell_length_c 10.7207
_cell_angle_alpha 90.00
_cell_angle_beta 90.00
_cell_angle_gamma 90.00
loop_
_atom_site_label
_atom_site_type_symbol
_atom_site_fract_x
_atom_site_fract_y
_atom_site_fract_z
_atom_site_occupancy
Tb1 Tb 0.0000 0.5000 0.2500 1
Tb2 Tb 0.1150 0.7910 0.1595 1
Pm1 Pm 0.0000 0.0000 0.5000 1
Pr1 Pr 0.0637 0.6677 0.5000 1
```



(9)
# Tb4Pm15Pr
Theoretical powder XRD pattern, Cu Kα X-rays. Input: a structure optimized by DFT (PBE).
Peak positions follow from Bragg's law for the DFT cell and can differ from measured ones.

Main lines, sorted by position (2θ from 10° to 90°):
| 2θ (°) | I_rel |
| --- | --- |
| 30.11 | 100 |
| 34.90 | 51 |
| 50.19 | 36 |
| 59.65 | 43 |
| 62.59 | 12 |
| 73.67 | 4 |
| 81.63 | 18 |
| 84.17 | 6 |
| 84.21 | 5 |
| 84.31 | 5 |

```
data_Tb4Pm15Pr
_chemical_formula_sum 'Tb4 Pm15 Pr1'
_symmetry_space_group_name_H-M 'P 4/m m m'
_symmetry_Int_Tables_number 123
_symmetry_space_group_name_Hall '-P 4 2'
_cell_length_a 5.1439
_cell_length_b 5.1439
_cell_length_c 25.6761
_cell_angle_alpha 90.00
_cell_angle_beta 90.00
_cell_angle_gamma 90.00
loop_
_atom_site_label
_atom_site_type_symbol
_atom_site_fract_x
_atom_site_fract_y
_atom_site_fract_z
_atom_site_occupancy
Tb1 Tb 0.0000 0.0000 0.0996 1
Tb2 Tb 0.0000 0.0000 0.2988 1
Pm1 Pm 0.0000 0.5000 0.0000 1
Pm2 Pm 0.0000 0.5000 0.1992 1
Pm3 Pm 0.0000 0.5000 0.3984 1
Pm4 Pm 0.5000 0.5000 0.0997 1
Pm5 Pm 0.5000 0.5000 0.2984 1
Pm6 Pm 0.5000 0.5000 0.5000 1
Pr1 Pr 0.0000 0.0000 0.5000 1
```



(10)
# Tb12Pm5Pr2
Theoretical powder XRD pattern, Cu Kα X-rays. Input: a structure optimized by DFT (PBE).
Peak positions follow from Bragg's law for the DFT cell and can differ from measured ones.

Main lines, sorted by position (2θ from 10° to 90°):
| 2θ (°) | I_rel |
| --- | --- |
| 30.39 | 48 |
| 30.63 | 45 |
| 31.31 | 100 |
| 31.84 | 39 |
| 32.14 | 52 |
| 42.64 | 12 |
| 44.72 | 12 |
| 47.00 | 14 |
| 54.14 | 11 |
| 57.38 | 11 |

```
data_Tb12Pm5Pr2
_chemical_formula_sum 'Tb12 Pm5 Pr2'
_symmetry_space_group_name_H-M 'P -1'
_symmetry_Int_Tables_number 2
_cell_length_a 6.4935
_cell_length_b 8.8545
_cell_length_c 12.0620
_cell_angle_alpha 73.63
_cell_angle_beta 76.97
_cell_angle_gamma 74.00
loop_
_symmetry_equiv_pos_as_xyz
'x,y,z'
'-x,-y,-z'
loop_
_atom_site_label
_atom_site_type_symbol
_atom_site_fract_x
_atom_site_fract_y
_atom_site_fract_z
_atom_site_occupancy
Tb1 Tb 0.0377 0.0781 0.1180 1
Tb2 Tb 0.0912 0.2899 0.3115 1
Tb3 Tb 0.1425 0.6844 0.1689 1
Tb4 Tb 0.3673 0.9333 0.6412 1
Tb5 Tb 0.4016 0.1312 0.8608 1
Tb6 Tb 0.4435 0.5232 0.6976 1
Pm1 Pm 0.0000 0.5000 0.0000 1
Pm2 Pm 0.2130 0.8395 0.4097 1
Pm3 Pm 0.4867 0.7019 0.9118 1
Pr1 Pr 0.2150 0.3514 0.5590 1
```



(11)
# Tb6PmPr8
Theoretical powder XRD pattern, Cu Kα X-rays. Input: a structure optimized by DFT (PBE).
Peak positions follow from Bragg's law for the DFT cell and can differ from measured ones.

Main lines, sorted by position (2θ from 10° to 90°):
| 2θ (°) | I_rel |
| --- | --- |
| 29.20 | 100 |
| 29.40 | 23 |
| 31.23 | 10 |
| 33.90 | 51 |
| 34.63 | 35 |
| 48.56 | 21 |
| 48.83 | 16 |
| 57.67 | 11 |
| 57.79 | 12 |
| 58.03 | 12 |

```
data_Tb6PmPr8
_chemical_formula_sum 'Tb18 Pm3 Pr24'
_symmetry_space_group_name_H-M 'R -3'
_symmetry_Int_Tables_number 148
_symmetry_space_group_name_Hall '-R 3'
_cell_length_a 9.9198
_cell_length_b 9.9198
_cell_length_c 18.2259
_cell_angle_alpha 90.00
_cell_angle_beta 90.00
_cell_angle_gamma 120.00
loop_
_atom_site_label
_atom_site_type_symbol
_atom_site_fract_x
_atom_site_fract_y
_atom_site_fract_z
_atom_site_occupancy
Tb1 Tb 0.0391 0.2834 0.1771 1
Pm1 Pm 0.0000 0.0000 0.5000 1
Pr1 Pr 0.0000 0.0000 0.0855 1
Pr2 Pr 0.0545 0.2410 0.6709 1
```



(12)
# TbPm6Pr6
Theoretical powder XRD pattern, Cu Kα X-rays. Input: a structure optimized by DFT (PBE).
Peak positions follow from Bragg's law for the DFT cell and can differ from measured ones.

Main lines, sorted by position (2θ from 10° to 90°):
| 2θ (°) | I_rel |
| --- | --- |
| 26.14 | 47 |
| 27.56 | 28 |
| 30.28 | 58 |
| 30.41 | 100 |
| 30.80 | 33 |
| 34.07 | 95 |
| 34.43 | 36 |
| 48.87 | 27 |
| 53.79 | 40 |
| 54.52 | 34 |

```
data_TbPm6Pr6
_chemical_formula_sum 'Tb1 Pm6 Pr6'
_symmetry_space_group_name_H-M 'P 6/m m m'
_symmetry_Int_Tables_number 191
_symmetry_space_group_name_Hall '-P 6 2'
_cell_length_a 6.8170
_cell_length_b 6.8170
_cell_length_c 11.6123
_cell_angle_alpha 90.00
_cell_angle_beta 90.00
_cell_angle_gamma 120.00
loop_
_atom_site_label
_atom_site_type_symbol
_atom_site_fract_x
_atom_site_fract_y
_atom_site_fract_z
_atom_site_occupancy
Tb1 Tb 0.0000 0.0000 0.0000 1
Pm1 Pm 0.0000 0.0000 0.3521 1
Pm2 Pm 0.3333 0.6667 0.0000 1
Pm3 Pm 0.3333 0.6667 0.5000 1
Pr1 Pr 0.0000 0.5000 0.2486 1
```